The following is a calculated X-ray diffraction stick pattern of Hf3H8. It was derived from a DFT-relaxed cell (PBE, Alexandria), using Cu Kα (weighted mean of Kα1 and Kα2).
Kinematic intensities with the Lorentz-polarization factor, no thermal factor.

Principal peaks in the range 2θ from 15° to 90°, sorted by position:
(1 0 0), 19.2°, I 33; (1 1 0), 27.3°, I 28; (1 1 1), 33.6°, I 100; (2 0 0), 39.0°, I 48; (2 1 0), 43.9°, I 16; (2 1 1), 48.3°, I 12; (2 2 0), 56.4°, I 36; (3 1 1), 67.3°, I 41

Structural model:
```
Hf3H8
1.0
4.616 0.000 0.000
0.000 4.616 0.000
0.000 0.000 4.616
Hf H
3 8
Direct
0.000 0.000 0.500 Hf
0.000 0.500 0.000 Hf
0.500 0.000 0.000 Hf
0.258 0.258 0.258 H
0.258 0.258 0.742 H
0.258 0.742 0.258 H
0.258 0.742 0.742 H
0.742 0.258 0.258 H
0.742 0.258 0.742 H
0.742 0.742 0.258 H
0.742 0.742 0.742 H
```